No. 1
For TbHfBi3, DFT lattice parameters and positions (GGA-PBE) gives the theoretical PXRD pattern in this record (Cu Kα, 1.54184 Å).
Kinematic intensities with the Lorentz-polarization factor, no thermal factor.

Main lines, by angle (2θ from 15° to 90°):
h k l	d/Å	I (rel.)
1 1 3	3.166	31
2 1 0	2.981	70
2 1 1	2.932	100
2 0 4	2.850	36
2 1 2	2.798	30
0 1 5	2.628	100
2 0 5	2.522	30
0 2 0	2.235	51
4 0 2	1.942	20
2 2 4	1.759	20

Structural model:
abc: 8.000 4.470 16.247
angles: 90.00 90.00 90.00
Positions (direct):
Tb 0.019 0.250 0.164
Tb 0.481 0.750 0.664
Tb 0.519 0.250 0.336
Tb 0.981 0.750 0.836
Hf 0.136 0.750 0.470
Hf 0.364 0.250 0.970
Hf 0.636 0.750 0.030
Hf 0.864 0.250 0.530
Bi 0.055 0.750 0.642
Bi 0.150 0.750 0.034
Bi 0.223 0.750 0.286
Bi 0.277 0.250 0.786
Bi 0.350 0.250 0.534
Bi 0.445 0.250 0.142
Bi 0.555 0.750 0.858
Bi 0.650 0.750 0.466
Bi 0.723 0.750 0.214
Bi 0.777 0.250 0.714
Bi 0.850 0.250 0.966
Bi 0.945 0.250 0.358

=====

No. 2
For BeAgBi, DFT lattice parameters and positions (GGA-PBE) gives the theoretical PXRD pattern in this record (Cu Kα, 1.54184 Å).
Kinematic intensities with the Lorentz-polarization factor, no thermal factor.

Main lines, by angle (2θ from 15° to 90°):
h k l	d/Å	I (rel.)
0 1 1	4.069	40
0 1 2	3.221	81
1 1 0	3.112	100
0 1 -2	2.807	68
1 0 2	2.697	31
1 0 -2	2.380	43
1 1 3	2.346	42
1 -1 0	2.227	37
1 2 1	2.217	34
0 2 0	2.162	33

Structural model:
abc: 3.443 4.686 8.522
angles: 78.83 79.16 68.68
Positions (direct):
Be 0.103 0.401 0.384
Be 0.897 0.599 0.616
Ag 0.394 0.806 0.400
Ag 0.606 0.194 0.600
Bi 0.220 0.746 0.840
Bi 0.780 0.254 0.160

=====

No. 3
For Ge4Ir, DFT lattice parameters and positions (GGA-PBE) gives the theoretical PXRD pattern in this record (Cu Kα, 1.54184 Å).
Kinematic intensities with the Lorentz-polarization factor, no thermal factor.

Main lines, by angle (2θ from 15° to 90°):
h k l	d/Å	I (rel.)
1 0 1	4.481	94
0 1 2	3.194	59
1 1 0	3.144	30
2 0 1	2.574	67
1 1 2	2.458	36
0 2 2	2.241	34
1 1 3	2.017	66
2 1 1	1.991	100
1 0 4	1.854	39
1 2 2	1.825	41

Structural model:
abc: 6.287 6.287 7.890
angles: 90.00 90.00 120.00
Positions (direct):
Ge 0.000 0.081 0.167
Ge 0.000 0.618 0.167
Ge 0.081 0.000 0.833
Ge 0.221 0.484 0.948
Ge 0.263 0.779 0.615
Ge 0.382 0.382 0.500
Ge 0.484 0.221 0.052
Ge 0.516 0.737 0.281
Ge 0.618 0.000 0.833
Ge 0.737 0.516 0.719
Ge 0.779 0.263 0.385
Ge 0.919 0.919 0.500
Ir 0.000 0.316 0.667
Ir 0.316 0.000 0.333
Ir 0.684 0.684 0.000